The following is a simulated X-ray powder pattern of SmAuS2. It was derived from a DFT-relaxed cell (PBE, Alexandria), using CuKα.
Kinematic intensities with the Lorentz-polarization factor, no thermal factor.

Most intense lines, 10° ≤ 2θ ≤ 90°, by intensity:
d_spacing, 2θ (°), I (rel.)
3.500, 25.45, 1000
3.068, 29.10, 445
2.130, 42.43, 330
2.211, 40.81, 314
1.843, 49.44, 284
3.683, 24.17, 251
1.896, 47.99, 228
1.820, 50.13, 160

```
data_SmAuS2
_cell_length_a 7.765
_cell_length_b 7.765
_cell_length_c 7.765
_cell_angle_alpha 31.84
_cell_angle_beta 31.84
_cell_angle_gamma 31.84
_symmetry_space_group_name_H-M 'P 1'
_symmetry_Int_Tables_number 1
_symmetry_space_group_name_Hall 'P 1'
loop_
_atom_site_label
_atom_site_type_symbol
_atom_site_fract_x
_atom_site_fract_y
_atom_site_fract_z
Sm1 Sm 0.000 0.000 0.000
Au1 Au 0.500 0.500 0.500
S1 S 0.396 0.396 0.396
S2 S 0.604 0.604 0.604
```